Diffraction record for Tl8HgBi3. The X-ray diffraction stick pattern is calculated, not measured: it uses DFT lattice parameters and positions (PBE) and Cu Ka.

The 10 most intense peaks (2θ from 10° to 90°), by angle:
2θ = 20.0°, rel. 18; 2θ = 20.3°, rel. 21; 2θ = 23.3°, rel. 19; 2θ = 32.8°, rel. 26; 2θ = 33.2°, rel. 100; 2θ = 33.6°, rel. 24; 2θ = 47.7°, rel. 19; 2θ = 58.8°, rel. 20; 2θ = 59.8°, rel. 19; 2θ = 69.8°, rel. 12

Cell and atoms:
a b c (Å): 9.3744 9.3011 7.6360
angles (deg): 66.37 65.36 48.27
Positions (direct):
Tl 0.1208 0.6308 0.8792
Tl 0.1258 0.6339 0.3661
Tl 0.3661 0.8742 0.1258
Tl 0.3692 0.8792 0.6308
Tl 0.6308 0.1208 0.3692
Tl 0.6339 0.1258 0.8742
Tl 0.8742 0.3661 0.6339
Tl 0.8792 0.3692 0.1208
Hg 0.0000 0.0000 0.0000
Bi 0.2500 0.2500 0.2500
Bi 0.5000 0.5000 0.5000
Bi 0.7500 0.7500 0.7500



Diffraction record for Ac4Pu6O19. The X-ray diffraction stick pattern is calculated, not measured: it uses DFT lattice parameters and positions (PBE) and Cu Ka.

The 10 most intense peaks (2θ from 10° to 90°), by angle:
2θ = 21.7°, rel. 49; 2θ = 28.2°, rel. 100; 2θ = 30.9°, rel. 22; 2θ = 33.5°, rel. 63; 2θ = 44.3°, rel. 20; 2θ = 46.2°, rel. 43; 2θ = 49.8°, rel. 20; 2θ = 55.0°, rel. 27; 2θ = 56.6°, rel. 18; 2θ = 62.9°, rel. 20

Cell and atoms:
a b c (Å): 8.6785 8.6785 8.6785
angles (deg): 109.47 109.47 109.47
Positions (direct):
Ac 0.0000 0.0000 0.7029
Ac 0.0000 0.7029 0.0000
Ac 0.2971 0.2971 0.2971
Ac 0.7029 0.0000 0.0000
Pu 0.1698 0.6698 0.5000
Pu 0.3302 0.5000 0.8302
Pu 0.5000 0.1698 0.6698
Pu 0.5000 0.8302 0.3302
Pu 0.6698 0.5000 0.1698
Pu 0.8302 0.3302 0.5000
O 0.0000 0.0000 0.0000
O 0.0000 0.3576 0.3576
O 0.0000 0.6424 0.6424
O 0.0313 0.2846 0.6814
O 0.2533 0.9687 0.6501
O 0.2846 0.6814 0.0313
O 0.3186 0.6032 0.3499
O 0.3499 0.3186 0.6032
O 0.3576 0.0000 0.3576
O 0.3576 0.3576 0.0000
O 0.3968 0.7154 0.7467
O 0.6032 0.3499 0.3186
O 0.6424 0.0000 0.6424
O 0.6424 0.6424 0.0000
O 0.6501 0.2533 0.9687
O 0.6814 0.0313 0.2846
O 0.7154 0.7467 0.3968
O 0.7467 0.3968 0.7154
O 0.9687 0.6501 0.2533



Diffraction record for Te2Au. The X-ray diffraction stick pattern is calculated, not measured: it uses DFT lattice parameters and positions (PBE) and Cu Ka.

The 10 most intense peaks (2θ from 10° to 90°), by angle:
2θ = 29.0°, rel. 100; 2θ = 30.0°, rel. 42; 2θ = 40.0°, rel. 16; 2θ = 42.2°, rel. 61; 2θ = 42.9°, rel. 19; 2θ = 50.8°, rel. 14; 2θ = 53.2°, rel. 17; 2θ = 60.1°, rel. 13; 2θ = 68.6°, rel. 12; 2θ = 78.1°, rel. 10

Cell and atoms:
a b c (Å): 16.8663 8.9291 4.5043
angles (deg): 90.00 90.00 90.00
Positions (direct):
Te 0.0062 0.1962 0.3898
Te 0.1196 0.4697 0.9346
Te 0.1296 0.8590 0.0000
Te 0.2500 0.1238 0.5890
Te 0.2500 0.5190 0.5047
Te 0.3704 0.8590 0.0000
Te 0.3804 0.4697 0.9346
Te 0.4938 0.1962 0.3898
Te 0.5062 0.8038 0.3898
Te 0.6196 0.5303 0.9346
Te 0.6296 0.1410 0.0000
Te 0.7500 0.4810 0.5047
Te 0.7500 0.8762 0.5890
Te 0.8704 0.1410 0.0000
Te 0.8804 0.5303 0.9346
Te 0.9938 0.8038 0.3898
Au 0.0000 0.5000 0.4433
Au 0.1257 0.1652 0.9767
Au 0.2500 0.8235 0.4909
Au 0.3743 0.1652 0.9767
Au 0.5000 0.5000 0.4433
Au 0.6257 0.8348 0.9767
Au 0.7500 0.1765 0.4909
Au 0.8743 0.8348 0.9767



Diffraction record for Pu4Pd3Rh. The X-ray diffraction stick pattern is calculated, not measured: it uses DFT lattice parameters and positions (PBE) and Cu Ka.

The 9 most intense peaks (2θ from 10° to 90°), by angle:
2θ = 25.5°, rel. 16; 2θ = 36.3°, rel. 100; 2θ = 44.9°, rel. 5; 2θ = 52.3°, rel. 18; 2θ = 59.1°, rel. 7; 2θ = 65.4°, rel. 37; 2θ = 77.2°, rel. 12; 2θ = 82.8°, rel. 4; 2θ = 88.4°, rel. 17

Cell and atoms:
a b c (Å): 6.9911 6.9911 6.9911
angles (deg): 90.00 90.00 90.00
Positions (direct):
Pu 0.2500 0.2500 0.2500
Pu 0.2500 0.2500 0.7500
Pu 0.2500 0.7500 0.2500
Pu 0.2500 0.7500 0.7500
Pu 0.7500 0.2500 0.2500
Pu 0.7500 0.2500 0.7500
Pu 0.7500 0.7500 0.2500
Pu 0.7500 0.7500 0.7500
Pd 0.0000 0.0000 0.5000
Pd 0.0000 0.5000 0.0000
Pd 0.0000 0.5000 0.5000
Pd 0.5000 0.0000 0.0000
Pd 0.5000 0.0000 0.5000
Pd 0.5000 0.5000 0.0000
Rh 0.0000 0.0000 0.0000
Rh 0.5000 0.5000 0.5000



Diffraction record for SiB2Ir4. The X-ray diffraction stick pattern is calculated, not measured: it uses DFT lattice parameters and positions (PBE) and Cu Ka.

The 10 most intense peaks (2θ from 10° to 90°), by angle:
2θ = 33.3°, rel. 100; 2θ = 34.7°, rel. 24; 2θ = 40.5°, rel. 38; 2θ = 48.6°, rel. 5; 2θ = 54.4°, rel. 27; 2θ = 58.6°, rel. 13; 2θ = 61.4°, rel. 14; 2θ = 65.0°, rel. 5; 2θ = 69.1°, rel. 25; 2θ = 70.0°, rel. 13

Cell and atoms:
a b c (Å): 4.4534 4.4534 10.3328
angles (deg): 90.00 90.00 90.00
Positions (direct):
Si 0.0000 0.0000 0.0000
Si 0.5000 0.5000 0.5000
B 0.0000 0.0000 0.4187
B 0.0000 0.0000 0.5813
B 0.5000 0.5000 0.0813
B 0.5000 0.5000 0.9187
Ir 0.0000 0.0000 0.2283
Ir 0.0000 0.0000 0.7717
Ir 0.0000 0.5000 0.0000
Ir 0.0000 0.5000 0.5000
Ir 0.5000 0.0000 0.0000
Ir 0.5000 0.0000 0.5000
Ir 0.5000 0.5000 0.2717
Ir 0.5000 0.5000 0.7283



Diffraction record for Tb2UTc2. The X-ray diffraction stick pattern is calculated, not measured: it uses DFT lattice parameters and positions (PBE) and Cu Ka.

The 10 most intense peaks (2θ from 10° to 90°), by angle:
2θ = 31.3°, rel. 33; 2θ = 31.8°, rel. 83; 2θ = 32.2°, rel. 100; 2θ = 35.1°, rel. 49; 2θ = 36.1°, rel. 42; 2θ = 37.5°, rel. 54; 2θ = 38.3°, rel. 69; 2θ = 40.1°, rel. 31; 2θ = 48.6°, rel. 34; 2θ = 58.4°, rel. 31

Cell and atoms:
a b c (Å): 5.7817 5.7817 7.8987
angles (deg): 98.51 98.51 61.85
Positions (direct):
Tb 0.0275 0.2743 0.1503
Tb 0.2743 0.0275 0.6503
Tb 0.7257 0.9725 0.3497
Tb 0.9725 0.7257 0.8497
U 0.3752 0.6248 0.2500
U 0.6248 0.3752 0.7500
Tc 0.2490 0.5013 0.4879
Tc 0.4987 0.7510 0.0121
Tc 0.5013 0.2490 0.9879
Tc 0.7510 0.4987 0.5121



Diffraction record for BaSrPrHfO6. The X-ray diffraction stick pattern is calculated, not measured: it uses DFT lattice parameters and positions (PBE) and Cu Ka.

The 10 most intense peaks (2θ from 10° to 90°), by angle:
2θ = 20.4°, rel. 11; 2θ = 28.9°, rel. 65; 2θ = 29.1°, rel. 100; 2θ = 29.2°, rel. 31; 2θ = 41.4°, rel. 17; 2θ = 41.6°, rel. 33; 2θ = 51.3°, rel. 20; 2θ = 51.5°, rel. 23; 2θ = 51.9°, rel. 22; 2θ = 68.4°, rel. 12

Cell and atoms:
a b c (Å): 6.1084 6.1984 8.6750
angles (deg): 89.68 89.55 89.72
Positions (direct):
Ba 0.0083 0.0327 0.2493
Ba 0.9917 0.9673 0.7507
Sr 0.4848 0.5398 0.2496
Sr 0.5152 0.4602 0.7504
Pr 0.0000 0.5000 0.0000
Pr 0.5000 0.0000 0.5000
Hf 0.0000 0.5000 0.5000
Hf 0.5000 0.0000 0.0000
O 0.0999 0.5143 0.7320
O 0.2013 0.7649 0.4529
O 0.2289 0.8007 0.0367
O 0.2693 0.3012 0.4460
O 0.3095 0.2745 0.0560
O 0.4227 0.0488 0.7673
O 0.5773 0.9512 0.2327
O 0.6905 0.7255 0.9440
O 0.7307 0.6988 0.5540
O 0.7711 0.1993 0.9633
O 0.7987 0.2351 0.5471
O 0.9001 0.4857 0.2680



Diffraction record for CePu2Ga3. The X-ray diffraction stick pattern is calculated, not measured: it uses DFT lattice parameters and positions (PBE) and Cu Ka.

The 10 most intense peaks (2θ from 10° to 90°), by angle:
2θ = 20.0°, rel. 21; 2θ = 28.4°, rel. 18; 2θ = 35.0°, rel. 100; 2θ = 40.6°, rel. 50; 2θ = 45.7°, rel. 11; 2θ = 50.4°, rel. 8; 2θ = 58.8°, rel. 34; 2θ = 70.3°, rel. 40; 2θ = 73.9°, rel. 12; 2θ = 81.0°, rel. 4

Cell and atoms:
a b c (Å): 3.1420 3.1420 13.3082
angles (deg): 90.00 90.00 90.00
Positions (direct):
Ce 0.0000 0.0000 0.0000
Pu 0.0000 0.0000 0.3339
Pu 0.0000 0.0000 0.6661
Ga 0.5000 0.5000 0.1690
Ga 0.5000 0.5000 0.5000
Ga 0.5000 0.5000 0.8310



Diffraction record for Mn8CrH6. The X-ray diffraction stick pattern is calculated, not measured: it uses DFT lattice parameters and positions (PBE) and Cu Ka.

The 10 most intense peaks (2θ from 10° to 90°), by angle:
2θ = 38.6°, rel. 11; 2θ = 43.3°, rel. 81; 2θ = 44.1°, rel. 100; 2θ = 45.8°, rel. 28; 2θ = 52.9°, rel. 16; 2θ = 63.5°, rel. 19; 2θ = 76.8°, rel. 16; 2θ = 80.5°, rel. 13; 2θ = 81.0°, rel. 10; 2θ = 89.7°, rel. 13

Cell and atoms:
a b c (Å): 7.1198 7.1198 2.5825
angles (deg): 90.00 90.00 120.00
Positions (direct):
Mn 0.0365 0.6918 0.2668
Mn 0.3082 0.3447 0.2668
Mn 0.3333 0.6667 0.7534
Mn 0.3447 0.0365 0.7332
Mn 0.6553 0.9635 0.2668
Mn 0.6667 0.3333 0.2466
Mn 0.6918 0.6553 0.7332
Mn 0.9635 0.3082 0.7332
Cr 0.0000 0.0000 0.0000
H 0.1405 0.4809 0.2434
H 0.3404 0.8595 0.2434
H 0.4809 0.3404 0.7566
H 0.5191 0.6596 0.2434
H 0.6596 0.1405 0.7566
H 0.8595 0.5191 0.7566